Diffraction record for Na3Cd. The powder XRD pattern is simulated, not measured: it uses a structure optimized by DFT (PBE) and Cu Kα (λ = 1.5418 Å).

Most intense lines, 2θ = 10–90°, low angle first:
h k l, Position (°2θ), I/Imax
1 0 0, 14.5, 32
1 0 1, 21.4, 68
1 1 0, 25.2, 31
2 0 0, 29.2, 24
0 0 2, 31.6, 26
2 0 1, 33.3, 100
2 1 1, 42.2, 25
2 2 0, 51.8, 18
2 0 3, 57.3, 19
2 2 2, 61.9, 20

Structure:
Unit cell a=7.0609 b=7.0609 c=5.6685 alpha=90.00 beta=90.00 gamma=120.00
Space group P6_3/mmc (No. 194)
Inequivalent atoms, fractional coordinates:
Na  0.1713  0.3426  0.2500 [6 per cell]
Cd  0.3333  0.6667  0.7500 [2 per cell]